CaF2: calculated X-ray diffraction stick pattern (λ = 1.5418 Å (Cu Kα)), based on a PBE-relaxed structure.
No peak broadening, texture or thermal motion is included.

Principal peaks in the range 10° ≤ 2θ ≤ 90°, by intensity:
| 2θ (°) | I/Imax |
| --- | --- |
| 45.5 | 100 |
| 23.7 | 90 |
| 38.2 | 48 |
| 48.6 | 40 |
| 88.6 | 21 |
| 63.4 | 18 |
| 54.7 | 15 |
| 81.9 | 13 |
| 71.1 | 10 |
| 61.3 | 9 |
| 66.7 | 8 |
| 86.7 | 7 |

Structure:
a = 3.750 Å, b = 3.750 Å, c = 3.023 Å
α = 90.00°, β = 90.00°, γ = 90.00°
Sites, in units of the cell vectors:
Ca: 0.000 0.000 0.000
F: 0.000 0.500 0.500
F: 0.500 0.000 0.500